Calculated X-ray diffraction stick pattern
Compound: Li2VCrO4
Radiation: Cu Ka
Structure: a PBE+U-relaxed structure
Intensities are scaled so that the largest is 100.

Structure:
Cell lengths 9.780, 4.062, 8.209 Å; angles 90.00, 114.88, 90.00 degrees
Space group Cm (No. 8)
Asymmetric unit:
Li  0.000  0.000  0.000 [2 per cell]
Li  0.004  0.000  0.504 [2 per cell]
Li  0.251  0.000  0.876 [2 per cell]
Li  0.266  0.000  0.385 [2 per cell]
V  0.255  0.500  0.128 [2 per cell]
V  0.258  0.500  0.630 [2 per cell]
Cr  0.009  0.500  0.256 [2 per cell]
Cr  0.011  0.500  0.756 [2 per cell]
O  0.021  0.500  0.511 [2 per cell]
O  0.030  0.500  0.017 [2 per cell]
O  0.236  0.500  0.375 [2 per cell]
O  0.240  0.500  0.865 [2 per cell]
O  0.279  0.000  0.139 [2 per cell]
O  0.282  0.000  0.643 [2 per cell]
O  0.487  0.500  0.244 [2 per cell]
O  0.496  0.500  0.749 [2 per cell]

Most intense lines, 5° ≤ 2θ ≤ 70°, sorted by position:
index	2θ/deg	Rel. int.
2 0 -2	23.9	97
1 1 0	24.1	100
1 1 2	37.2	29
4 0 0	40.7	63
2 0 -4	44.1	53
0 2 0	44.6	51
1 1 -4	50.9	22
2 0 4	61.6	30
4 2 0	61.9	29
2 2 -4	64.6	28

---

Calculated X-ray diffraction stick pattern
Compound: Li8Mn3Fe5B8O24
Radiation: Cu Ka
Structure: a PBE+U-relaxed structure
Intensities are scaled so that the largest is 100.

Structure:
Cell lengths 5.224, 5.232, 20.763 Å; angles 91.00, 90.70, 119.85 degrees
Space group P1 (No. 1)
Asymmetric unit:
Li  0.000  0.000  0.000 [1 per cell]
Li  0.001  0.000  0.500 [1 per cell]
Li  0.026  0.973  0.750 [1 per cell]
Li  0.028  0.975  0.250 [1 per cell]
Li  0.330  0.314  0.125 [1 per cell]
Li  0.331  0.317  0.625 [1 per cell]
Li  0.342  0.306  0.376 [1 per cell]
Li  0.343  0.304  0.875 [1 per cell]
Mn  0.356  0.651  0.767 [1 per cell]
Mn  0.674  0.979  0.143 [1 per cell]
Mn  0.677  0.331  0.017 [1 per cell]
Fe  0.001  0.648  0.392 [1 per cell]
Fe  0.008  0.656  0.892 [1 per cell]
Fe  0.353  0.643  0.268 [1 per cell]
Fe  0.682  0.982  0.642 [1 per cell]
Fe  0.685  0.334  0.517 [1 per cell]
B  0.010  0.645  0.645 [1 per cell]
B  0.013  0.647  0.146 [1 per cell]
B  0.338  0.656  0.020 [1 per cell]
B  0.339  0.655  0.521 [1 per cell]
B  0.672  0.984  0.896 [1 per cell]
B  0.674  0.985  0.396 [1 per cell]
B  0.682  0.312  0.771 [1 per cell]
B  0.683  0.314  0.271 [1 per cell]
O  0.030  0.920  0.652 [1 per cell]
O  0.042  0.923  0.154 [1 per cell]
O  0.094  0.678  0.501 [1 per cell]
O  0.102  0.690  0.999 [1 per cell]
O  0.254  0.610  0.162 [1 per cell]
O  0.259  0.622  0.660 [1 per cell]
O  0.304  0.378  0.028 [1 per cell]
O  0.315  0.380  0.527 [1 per cell]
O  0.404  0.279  0.778 [1 per cell]
O  0.409  0.291  0.278 [1 per cell]
O  0.426  0.718  0.876 [1 per cell]
O  0.427  0.723  0.375 [1 per cell]
O  0.607  0.911  0.536 [1 per cell]
O  0.611  0.905  0.036 [1 per cell]
O  0.648  0.233  0.910 [1 per cell]
O  0.650  0.234  0.411 [1 per cell]
O  0.706  0.070  0.252 [1 per cell]
O  0.716  0.076  0.750 [1 per cell]
O  0.744  0.399  0.626 [1 per cell]
O  0.747  0.406  0.125 [1 per cell]
O  0.931  0.586  0.787 [1 per cell]
O  0.937  0.585  0.286 [1 per cell]
O  0.947  0.004  0.902 [1 per cell]
O  0.949  0.004  0.402 [1 per cell]

Most intense lines, 5° ≤ 2θ ≤ 70°, sorted by position:
index	2θ/deg	Rel. int.
1 -1 0	19.6	66
-1 1 2	21.4	40
1 0 2	21.6	63
0 1 -4	25.8	46
0 1 4	26.4	30
2 -1 0	34.3	87
0 0 8	34.6	100
0 2 -2	40.5	27
2 0 -2	40.6	23
3 0 0	61.3	24

---

Calculated X-ray diffraction stick pattern
Compound: Ba2V2CuBrO8
Radiation: Cu Ka
Structure: a PBE+U-relaxed structure
Intensities are scaled so that the largest is 100.

Structure:
Cell lengths 15.181, 6.249, 9.799 Å; angles 90.00, 90.00, 90.00 degrees
Space group Pnma (No. 62)
Asymmetric unit:
Ba  0.032  0.250  0.142 [4 per cell]
Ba  0.247  0.750  0.962 [4 per cell]
V  0.131  0.750  0.289 [4 per cell]
V  0.132  0.250  0.793 [4 per cell]
Cu  0.000  0.000  0.500 [4 per cell]
Br  0.250  0.250  0.119 [4 per cell]
O  0.034  0.750  0.583 [4 per cell]
O  0.087  0.250  0.633 [4 per cell]
O  0.089  0.750  0.130 [4 per cell]
O  0.099  0.512  0.369 [8 per cell]
O  0.102  0.026  0.884 [8 per cell]
O  0.248  0.750  0.262 [4 per cell]

Most intense lines, 5° ≤ 2θ ≤ 70°, sorted by position:
index	2θ/deg	Rel. int.
4 0 0	23.4	30
1 1 2	23.8	28
3 1 1	24.4	32
1 0 3	27.9	25
0 2 0	28.6	54
4 1 1	29.0	100
4 0 2	29.8	42
0 1 3	30.9	51
1 1 3	31.5	56
2 2 2	36.1	29